Diffraction record for Pm2PrY5Sc. The XRD peak list is calculated, not measured: it uses the GGA-PBE geometry in Alexandria and Cu Kα X-rays.
Neutral-atom scattering factors, no anomalous dispersion.

Cell and atoms:
a b c (Å): 5.6287 19.9546 10.4726
angles (deg): 90.00 90.00 90.00
Space group Cmc2_1 (No. 36)
Symmetry-distinct sites (fractional):
Pm 0.0000 0.1115 0.0000
Pm 0.0000 0.1151 0.4196
Pr 0.0000 0.4124 0.1382
Y 0.0000 0.0170 0.7039
Y 0.0000 0.2736 0.0164
Y 0.0000 0.2963 0.3880
Y 0.0000 0.3706 0.7055
Y 0.0000 0.4809 0.4238
Sc 0.0000 0.1937 0.7014

Principal peaks in the range 2θ = 10–80°, in order of rising 2θ:
2θ 26.84, I = 26, (1 3 2); 2θ 28.15, I = 16, (0 6 1); 2θ 30.46, I = 41, (1 1 3); 2θ 31.80, I = 54, (2 0 0); 2θ 32.38, I = 100, (1 5 2); 2θ 34.25, I = 10, (0 0 4); 2θ 36.35, I = 11, (1 7 1); 2θ 42.98, I = 10, (2 6 1); 2θ 51.57, I = 11, (0 6 5); 2θ 57.01, I = 24, (3 5 2); 2θ 59.73, I = 12, (1 11 3); 2θ 61.85, I = 16, (2 6 5)